No. 1
Structure and simulated XRD peak list of Mg3Sc2TlAg2 (a cell relaxed with GGA-PBE; Cu Kα (weighted mean of Kα1 and Kα2)).

Cell and atoms:
```
data_Mg3Sc2TlAg2
_cell_length_a 4.8883
_cell_length_b 4.8883
_cell_length_c 6.8797
_cell_angle_alpha 90.00
_cell_angle_beta 90.00
_cell_angle_gamma 90.00
_symmetry_space_group_name_H-M 'P -4 m 2'
_symmetry_Int_Tables_number 115
loop_
_symmetry_equiv_pos_as_xyz
'x,y,z'
'y,-x,-z'
'-x,-y,z'
'-y,x,-z'
'-x,y,z'
'-y,-x,-z'
'x,-y,z'
'y,x,-z'
loop_
_atom_site_label
_atom_site_fract_x
_atom_site_fract_y
_atom_site_fract_z
Mg1 0.0000 0.0000 0.0000
Mg2 0.0000 0.5000 0.7552
Sc1 0.0000 0.5000 0.2529
Tl1 0.5000 0.5000 0.5000
Ag1 0.0000 0.0000 0.5000
Ag2 0.5000 0.5000 0.0000
```

Most intense lines, 2θ from 10° to 90°, sorted by position:
| 2θ/deg | I/Imax | h k l |
| --- | --- | --- |
| 12.9 | 17 | 0 0 1 |
| 18.1 | 16 | 1 0 0 |
| 25.8 | 23 | 1 1 0 |
| 25.9 | 11 | 0 0 2 |
| 28.9 | 11 | 1 1 1 |
| 36.8 | 100 | 2 0 0 |
| 45.5 | 10 | 2 0 2 |
| 53.0 | 11 | 2 2 0 |
| 66.3 | 23 | 3 1 2 |
| 66.5 | 11 | 2 0 4 |

***

No. 2
Structure and simulated XRD peak list of Rb2PmO4 (a cell relaxed with GGA-PBE; Cu Kα (weighted mean of Kα1 and Kα2)).

Cell and atoms:
Lattice parameters (Å, degrees): 10.8282 10.8282 10.8282 90.00 90.00 90.00
Space group Fd-3m (No. 227, origin choice 2)
Inequivalent atoms, fractional coordinates:
Rb (0.0000, 0.0000, 0.0000) x16
Pm (0.1250, 0.1250, 0.6250) x8
O (0.0080, 0.0080, 0.7420) x32

Most intense lines, 2θ from 10° to 90°, sorted by position:
| 2θ/deg | I/Imax | h k l |
| --- | --- | --- |
| 23.2 | 44 | 2 2 0 |
| 27.3 | 100 | 3 1 1 |
| 40.8 | 20 | 4 2 2 |
| 43.4 | 35 | 3 3 3 |
| 47.5 | 42 | 4 4 0 |
| 55.7 | 13 | 5 3 3 |
| 64.4 | 11 | 6 4 2 |
| 66.3 | 25 | 7 3 1 |
| 76.1 | 12 | 7 5 1 |
| 88.5 | 13 | 8 4 4 |

***

No. 3
Structure and simulated XRD peak list of HgP2PdO7 (a cell relaxed with GGA-PBE; Cu Kα (weighted mean of Kα1 and Kα2)).

Cell and atoms:
```
data_HgP2PdO7
_cell_length_a 14.1724
_cell_length_b 4.8205
_cell_length_c 8.8218
_cell_angle_alpha 90.00
_cell_angle_beta 99.94
_cell_angle_gamma 90.00
_symmetry_space_group_name_H-M 'C 1 2/c 1'
_symmetry_Int_Tables_number 15
loop_
_symmetry_equiv_pos_as_xyz
'x,y,z'
'-x,-y,-z'
'-x,y,-z+1/2'
'x,-y,z+1/2'
'x+1/2,y+1/2,z'
'-x+1/2,-y+1/2,-z'
'-x+1/2,y+1/2,-z+1/2'
'x+1/2,-y+1/2,z+1/2'
loop_
_atom_site_label
_atom_site_fract_x
_atom_site_fract_y
_atom_site_fract_z
Hg1 0.2500 0.2500 0.0000
P1 0.1024 0.1275 0.2727
Pd1 0.0000 0.5000 0.0000
O1 0.0000 0.0311 0.7500
O2 0.1057 0.2756 0.1195
O3 0.1096 0.3162 0.4142
O4 0.1803 0.0935 0.7875
```

Most intense lines, 2θ from 10° to 90°, sorted by position:
| 2θ/deg | I/Imax | h k l |
| --- | --- | --- |
| 20.4 | 44 | 0 0 2 |
| 21.5 | 33 | 1 1 -1 |
| 22.5 | 100 | 1 1 1 |
| 27.3 | 34 | 3 1 -1 |
| 27.6 | 35 | 1 1 -2 |
| 29.8 | 40 | 3 1 1 |
| 29.9 | 44 | 4 0 -2 |
| 37.1 | 39 | 5 1 -1 |
| 39.6 | 33 | 2 2 0 |
| 43.8 | 35 | 2 2 -2 |

***

No. 4
Structure and simulated XRD peak list of YLuPt2 (a cell relaxed with GGA-PBE; Cu Kα (weighted mean of Kα1 and Kα2)).

Cell and atoms:
```
data_YLuPt2
_cell_length_a 4.4765
_cell_length_b 6.9550
_cell_length_c 5.5320
_cell_angle_alpha 90.00
_cell_angle_beta 90.00
_cell_angle_gamma 90.00
_symmetry_space_group_name_H-M 'P m n 21'
_symmetry_Int_Tables_number 31
loop_
_symmetry_equiv_pos_as_xyz
'x,y,z'
'-x+1/2,-y,z+1/2'
'-x,y,z'
'x+1/2,-y,z+1/2'
loop_
_atom_site_label
_atom_site_fract_x
_atom_site_fract_y
_atom_site_fract_z
Y1 0.0000 0.0688 0.0000
Lu1 0.0000 0.5691 0.2171
Pt1 0.0000 0.2186 0.5145
Pt2 0.0000 0.6944 0.7026
```

Most intense lines, 2θ from 10° to 90°, sorted by position:
| 2θ/deg | I/Imax | h k l |
| --- | --- | --- |
| 20.5 | 25 | 0 1 1 |
| 32.6 | 67 | 1 2 0 |
| 34.9 | 38 | 0 1 2 |
| 36.5 | 100 | 1 2 1 |
| 40.3 | 50 | 2 0 0 |
| 40.5 | 94 | 1 1 2 |
| 54.4 | 22 | 2 1 2 |
| 55.4 | 22 | 0 4 1 |
| 70.7 | 21 | 2 4 1 |
| 73.3 | 24 | 3 1 2 |

***

No. 5
Structure and simulated XRD peak list of Tl2Pt9 (a cell relaxed with GGA-PBE; Cu Kα (weighted mean of Kα1 and Kα2)).

Cell and atoms:
```
data_Tl2Pt9
_cell_length_a 2.9063
_cell_length_b 2.9063
_cell_length_c 36.7064
_cell_angle_alpha 90.00
_cell_angle_beta 90.00
_cell_angle_gamma 120.00
_symmetry_space_group_name_H-M 'P -3 m 1'
_symmetry_Int_Tables_number 164
_symmetry_space_group_name_Hall '-P 3 2"'
loop_
_atom_site_label
_atom_site_fract_x
_atom_site_fract_y
_atom_site_fract_z
Tl1 0.3333 0.6667 0.3088
Pt1 0.0000 0.0000 0.0000
Pt2 0.0000 0.0000 0.1785
Pt3 0.3333 0.6667 0.1189
Pt4 0.3333 0.6667 0.7606
Pt5 0.3333 0.6667 0.9405
```

Most intense lines, 2θ from 10° to 90°, sorted by position:
| 2θ/deg | I/Imax | h k l |
| --- | --- | --- |
| 37.8 | 100 | 1 0 5 |
| 38.7 | 95 | 1 0 6 |
| 39.3 | 27 | 0 0 16 |
| 41.8 | 23 | 0 0 17 |
| 45.1 | 86 | 0 1 11 |
| 46.7 | 17 | 0 1 12 |
| 64.1 | 43 | 1 1 0 |
| 67.3 | 24 | 1 0 22 |
| 77.8 | 23 | 1 1 16 |
| 79.5 | 22 | 1 1 17 |

***

No. 6
Structure and simulated XRD peak list of LiLaCd6 (a cell relaxed with GGA-PBE; Cu Kα (weighted mean of Kα1 and Kα2)).

Cell and atoms:
```
data_LiLaCd6
_cell_length_a 4.9445
_cell_length_b 4.9445
_cell_length_c 7.3980
_cell_angle_alpha 90.00
_cell_angle_beta 90.00
_cell_angle_gamma 90.00
_symmetry_space_group_name_H-M 'P 4/m m m'
_symmetry_Int_Tables_number 123
_symmetry_space_group_name_Hall '-P 4 2'
loop_
_atom_site_label
_atom_site_fract_x
_atom_site_fract_y
_atom_site_fract_z
Li1 0.0000 0.0000 0.0000
La1 0.5000 0.5000 0.5000
Cd1 0.0000 0.0000 0.5000
Cd2 0.0000 0.5000 0.2207
Cd3 0.5000 0.5000 0.0000
```

Most intense lines, 2θ from 10° to 90°, sorted by position:
| 2θ/deg | I/Imax | h k l |
| --- | --- | --- |
| 17.9 | 7 | 1 0 0 |
| 28.2 | 13 | 1 1 1 |
| 35.3 | 100 | 1 1 2 |
| 36.3 | 55 | 2 0 0 |
| 49.3 | 7 | 0 0 4 |
| 52.4 | 24 | 2 2 0 |
| 62.7 | 14 | 2 0 4 |
| 64.7 | 32 | 3 1 2 |
| 74.7 | 9 | 2 2 4 |
| 88.4 | 9 | 4 2 0 |

***

No. 7
Structure and simulated XRD peak list of NaHoNO (a cell relaxed with GGA-PBE; Cu Kα (weighted mean of Kα1 and Kα2)).

Cell and atoms:
```
data_NaHoNO
_cell_length_a 3.4263
_cell_length_b 3.4263
_cell_length_c 4.5741
_cell_angle_alpha 90.00
_cell_angle_beta 90.00
_cell_angle_gamma 90.00
_symmetry_space_group_name_H-M 'P 4/m m m'
_symmetry_Int_Tables_number 123
_symmetry_space_group_name_Hall '-P 4 2'
loop_
_atom_site_label
_atom_site_fract_x
_atom_site_fract_y
_atom_site_fract_z
Na1 0.0000 0.0000 0.0000
Ho1 0.5000 0.5000 0.5000
N1 0.0000 0.0000 0.5000
O1 0.5000 0.5000 0.0000
```

Most intense lines, 2θ from 10° to 90°, sorted by position:
| 2θ/deg | I/Imax | h k l |
| --- | --- | --- |
| 19.4 | 67 | 0 0 1 |
| 26.0 | 73 | 1 0 0 |
| 32.7 | 100 | 1 0 1 |
| 37.1 | 68 | 1 1 0 |
| 39.4 | 29 | 0 0 2 |
| 42.2 | 37 | 1 1 1 |
| 47.8 | 29 | 1 0 2 |
| 53.5 | 23 | 2 0 0 |
| 55.2 | 41 | 1 1 2 |
| 64.1 | 31 | 2 1 1 |

***

No. 8
Structure and simulated XRD peak list of Zr2SeS3 (a cell relaxed with GGA-PBE; Cu Kα (weighted mean of Kα1 and Kα2)).

Cell and atoms:
```
data_Zr2SeS3
_cell_length_a 3.7099
_cell_length_b 6.4250
_cell_length_c 12.9705
_cell_angle_alpha 90.00
_cell_angle_beta 90.00
_cell_angle_gamma 90.00
_symmetry_space_group_name_H-M 'P m n 21'
_symmetry_Int_Tables_number 31
loop_
_symmetry_equiv_pos_as_xyz
'x,y,z'
'-x+1/2,-y,z+1/2'
'-x,y,z'
'x+1/2,-y,z+1/2'
loop_
_atom_site_label
_atom_site_fract_x
_atom_site_fract_y
_atom_site_fract_z
Zr1 0.0000 0.0267 0.0000
Zr2 0.0000 0.4692 0.4990
Se1 0.0000 0.8036 0.3717
S1 0.0000 0.1359 0.6100
S2 0.0000 0.3607 0.1095
S3 0.0000 0.6951 0.8873
```

Most intense lines, 2θ from 10° to 90°, sorted by position:
| 2θ/deg | I/Imax | h k l |
| --- | --- | --- |
| 13.7 | 100 | 0 0 2 |
| 28.6 | 33 | 1 1 1 |
| 31.1 | 55 | 0 2 2 |
| 34.8 | 55 | 1 1 3 |
| 39.5 | 29 | 0 2 4 |
| 44.9 | 30 | 1 1 5 |
| 49.1 | 17 | 2 0 0 |
| 49.7 | 24 | 1 3 1 |
| 50.9 | 12 | 0 2 6 |
| 64.8 | 12 | 2 2 4 |

***

No. 9
Structure and simulated XRD peak list of ReTc5 (a cell relaxed with GGA-PBE; Cu Kα (weighted mean of Kα1 and Kα2)).

Cell and atoms:
```
data_ReTc5
_cell_length_a 3.8817
_cell_length_b 11.6371
_cell_length_c 3.8784
_cell_angle_alpha 90.00
_cell_angle_beta 90.00
_cell_angle_gamma 90.00
_symmetry_space_group_name_H-M 'C m m m'
_symmetry_Int_Tables_number 65
_symmetry_space_group_name_Hall '-C 2 2'
loop_
_atom_site_label
_atom_site_fract_x
_atom_site_fract_y
_atom_site_fract_z
Re1 0.0000 0.0000 0.0000
Tc1 0.0000 0.1667 0.5000
Tc2 0.0000 0.3335 0.0000
Tc3 0.0000 0.5000 0.5000
```

Most intense lines, 2θ from 10° to 90°, sorted by position:
| 2θ/deg | I/Imax | h k l |
| --- | --- | --- |
| 15.2 | 4 | 0 2 0 |
| 22.9 | 1 | 0 0 1 |
| 24.2 | 3 | 1 1 0 |
| 27.6 | 2 | 0 2 1 |
| 33.6 | 2 | 1 1 1 |
| 40.3 | 100 | 1 3 1 |
| 46.8 | 48 | 2 0 0 |
| 68.4 | 31 | 2 6 0 |
| 82.5 | 36 | 3 3 1 |
| 87.0 | 11 | 2 6 2 |

***

No. 10
Structure and simulated XRD peak list of SmLuSc2Sb2 (a cell relaxed with GGA-PBE; Cu Kα (weighted mean of Kα1 and Kα2)).

Cell and atoms:
```
data_SmLuSc2Sb2
_cell_length_a 4.3552
_cell_length_b 4.3552
_cell_length_c 16.2697
_cell_angle_alpha 90.00
_cell_angle_beta 90.00
_cell_angle_gamma 90.00
_symmetry_space_group_name_H-M 'I 4 m m'
_symmetry_Int_Tables_number 107
_symmetry_space_group_name_Hall 'I 4 -2'
loop_
_atom_site_label
_atom_site_fract_x
_atom_site_fract_y
_atom_site_fract_z
Sm1 0.0000 0.0000 0.0000
Lu1 0.0000 0.0000 0.3517
Sc1 0.0000 0.5000 0.1780
Sb1 0.0000 0.0000 0.5462
Sb2 0.0000 0.0000 0.8076
```

Most intense lines, 2θ from 10° to 90°, sorted by position:
| 2θ/deg | I/Imax | h k l |
| --- | --- | --- |
| 10.9 | 28 | 0 0 2 |
| 29.0 | 100 | 1 1 0 |
| 31.1 | 68 | 1 1 2 |
| 33.0 | 31 | 0 0 6 |
| 34.4 | 79 | 1 0 5 |
| 36.6 | 86 | 1 1 4 |
| 41.5 | 72 | 2 0 0 |
| 54.0 | 33 | 2 0 6 |
| 55.0 | 63 | 1 0 9 |
| 71.1 | 30 | 2 1 9 |

***

No. 11
Structure and simulated XRD peak list of PrCoCu2Sb4 (a cell relaxed with GGA-PBE; Cu Kα (weighted mean of Kα1 and Kα2)).

Cell and atoms:
```
data_PrCoCu2Sb4
_cell_length_a 4.3396
_cell_length_b 4.3396
_cell_length_c 9.2299
_cell_angle_alpha 90.00
_cell_angle_beta 90.00
_cell_angle_gamma 90.00
_symmetry_space_group_name_H-M 'P 4 m m'
_symmetry_Int_Tables_number 99
loop_
_symmetry_equiv_pos_as_xyz
'x,y,z'
'-y,x,z'
'-x,-y,z'
'y,-x,z'
'-x,y,z'
'y,x,z'
'x,-y,z'
'-y,-x,z'
loop_
_atom_site_label
_atom_site_fract_x
_atom_site_fract_y
_atom_site_fract_z
Pr1 0.0000 0.0000 0.0000
Co1 0.5000 0.5000 0.4519
Cu1 0.0000 0.5000 0.7250
Sb1 0.0000 0.0000 0.5611
Sb2 0.0000 0.5000 0.2840
Sb3 0.5000 0.5000 0.9014
```

Most intense lines, 2θ from 10° to 90°, sorted by position:
| 2θ/deg | I/Imax | h k l |
| --- | --- | --- |
| 28.2 | 29 | 1 0 2 |
| 29.0 | 11 | 0 0 3 |
| 30.7 | 18 | 1 1 1 |
| 35.1 | 100 | 1 1 2 |
| 41.6 | 53 | 2 0 0 |
| 44.5 | 13 | 1 0 4 |
| 51.1 | 11 | 2 1 2 |
| 58.4 | 13 | 1 1 5 |
| 60.3 | 15 | 2 2 0 |
| 71.8 | 23 | 3 1 2 |

***

No. 12
Structure and simulated XRD peak list of Cs3NaZn2Ge21 (a cell relaxed with GGA-PBE; Cu Kα (weighted mean of Kα1 and Kα2)).

Cell and atoms:
```
data_Cs3NaZn2Ge21
_cell_length_a 10.9161
_cell_length_b 15.4303
_cell_length_c 15.4293
_cell_angle_alpha 90.00
_cell_angle_beta 90.00
_cell_angle_gamma 90.00
_symmetry_space_group_name_H-M 'A m a 2'
_symmetry_Int_Tables_number 40
loop_
_symmetry_equiv_pos_as_xyz
'x,y,z'
'-x,-y,z'
'-x+1/2,y,z'
'x+1/2,-y,z'
'x,y+1/2,z+1/2'
'-x,-y+1/2,z+1/2'
'-x+1/2,y+1/2,z+1/2'
'x+1/2,-y+1/2,z+1/2'
loop_
_atom_site_label
_atom_site_fract_x
_atom_site_fract_y
_atom_site_fract_z
Cs1 0.0000 0.0000 0.0000
Cs2 0.2500 0.1234 0.6260
Cs3 0.2500 0.3754 0.8780
Na1 0.2500 0.2513 0.2513
Zn1 0.0000 0.0000 0.5013
Zn2 0.2500 0.1251 0.8764
Ge1 0.0531 0.3085 0.6928
Ge2 0.0602 0.1898 0.8116
Ge3 0.0661 0.2492 0.4336
Ge4 0.0668 0.0662 0.2523
Ge5 0.0683 0.4316 0.2516
Ge6 0.0687 0.2501 0.0680
Ge7 0.1323 0.0960 0.4053
Ge8 0.1320 0.4040 0.0973
Ge9 0.2500 0.0398 0.1578
Ge10 0.2500 0.1545 0.0363
Ge11 0.2500 0.3431 0.4615
Ge12 0.2500 0.3751 0.6264
Ge13 0.2500 0.4652 0.3464
```

Most intense lines, 2θ from 10° to 90°, sorted by position:
| 2θ/deg | I/Imax | h k l |
| --- | --- | --- |
| 28.3 | 53 | 2 4 0 |
| 29.5 | 59 | 0 5 1 |
| 30.7 | 100 | 2 4 2 |
| 32.8 | 15 | 4 0 0 |
| 33.9 | 21 | 4 1 1 |
| 48.7 | 71 | 5 3 3 |
| 49.4 | 18 | 5 4 2 |
| 50.2 | 23 | 0 6 6 |
| 51.6 | 49 | 3 7 3 |
| 84.2 | 12 | 8 6 4 |

***

No. 13
Structure and simulated XRD peak list of Pm2DyN3 (a cell relaxed with GGA-PBE; Cu Kα (weighted mean of Kα1 and Kα2)).

Cell and atoms:
```
data_Pm2DyN3
_cell_length_a 3.5501
_cell_length_b 3.5501
_cell_length_c 8.6967
_cell_angle_alpha 90.00
_cell_angle_beta 90.00
_cell_angle_gamma 120.00
_symmetry_space_group_name_H-M 'P -3 m 1'
_symmetry_Int_Tables_number 164
_symmetry_space_group_name_Hall '-P 3 2"'
loop_
_atom_site_label
_atom_site_fract_x
_atom_site_fract_y
_atom_site_fract_z
Pm1 0.3333 0.6667 0.3298
Dy1 0.0000 0.0000 0.0000
N1 0.0000 0.0000 0.5000
N2 0.3333 0.6667 0.8408
```

Most intense lines, 2θ from 10° to 90°, sorted by position:
| 2θ/deg | I/Imax | h k l |
| --- | --- | --- |
| 10.2 | 1 | 0 0 1 |
| 30.8 | 100 | 0 1 1 |
| 35.8 | 73 | 1 0 2 |
| 51.5 | 50 | 1 1 0 |
| 61.2 | 45 | 2 0 1 |
| 64.3 | 17 | 0 2 2 |
| 75.8 | 8 | 2 0 4 |
| 84.0 | 19 | 1 2 1 |
| 86.7 | 22 | 2 1 2 |